Record 1
KTcO4: computed powder XRD pattern (Cu Kα, 1.54184 Å), based on a cell relaxed with GGA-PBE.

Main lines, in order of falling intensity (2θ from 10° to 80°):
| Position (°2θ) | intensity |
| --- | --- |
| 25.70 | 100.0 |
| 16.77 | 40.2 |
| 41.70 | 26.8 |
| 51.94 | 23.4 |
| 30.94 | 18.6 |
| 25.58 | 16.3 |

Cell and atoms:
a = 7.7155 Å, b = 7.7155 Å, c = 7.7155 Å
α = 136.00°, β = 136.00°, γ = 63.98°
Atoms (fractional coordinates):
K 0.3750 0.1250 0.2500
K 0.6250 0.8750 0.7500
Tc 0.1250 0.3750 0.7500
Tc 0.8750 0.6250 0.2500
O 0.0887 0.2299 0.4168
O 0.1720 0.5887 0.3589
O 0.2701 0.1869 0.8589
O 0.3131 0.6720 0.0832
O 0.6869 0.3280 0.9168
O 0.7299 0.8131 0.1411
O 0.8280 0.4113 0.6411
O 0.9113 0.7701 0.5832

=====

Record 2
CsSm2AgCl8: computed powder XRD pattern (Cu Kα, 1.54184 Å), based on a cell relaxed with GGA-PBE.

Main lines, in order of falling intensity (2θ from 10° to 80°):
| Position (°2θ) | intensity |
| --- | --- |
| 24.60 | 100.0 |
| 10.25 | 92.9 |
| 32.29 | 71.4 |
| 17.49 | 59.1 |
| 43.30 | 46.1 |
| 25.06 | 33.1 |

Cell and atoms:
a = 7.2386 Å, b = 7.2386 Å, c = 8.6261 Å
α = 90.00°, β = 90.00°, γ = 120.00°
Atoms (fractional coordinates):
Cs 0.0000 0.0000 0.0000
Sm 0.3333 0.6667 0.4101
Sm 0.6667 0.3333 0.5899
Ag 0.0000 0.0000 0.5000
Cl 0.0618 0.3698 0.6440
Cl 0.3080 0.9382 0.6440
Cl 0.3333 0.6667 0.1094
Cl 0.3698 0.3080 0.3560
Cl 0.6302 0.6920 0.6440
Cl 0.6667 0.3333 0.8906
Cl 0.6920 0.0618 0.3560
Cl 0.9382 0.6302 0.3560

=====

Record 3
AcTc2AgO7: computed powder XRD pattern (Cu Kα, 1.54184 Å), based on a cell relaxed with GGA-PBE.

Main lines, in order of falling intensity (2θ from 10° to 80°):
| Position (°2θ) | intensity |
| --- | --- |
| 28.37 | 100.0 |
| 32.57 | 38.5 |
| 55.58 | 30.6 |
| 46.73 | 21.4 |
| 47.40 | 19.8 |
| 33.47 | 11.0 |

Cell and atoms:
a = 3.8875 Å, b = 3.8875 Å, c = 10.7098 Å
α = 90.00°, β = 90.00°, γ = 90.00°
Atoms (fractional coordinates):
Ac 0.0000 0.0000 0.0000
Tc 0.5000 0.5000 0.2103
Tc 0.5000 0.5000 0.7897
Ag 0.0000 0.0000 0.5000
O 0.0000 0.5000 0.1762
O 0.0000 0.5000 0.8238
O 0.5000 0.0000 0.1762
O 0.5000 0.0000 0.8238
O 0.5000 0.5000 0.0000
O 0.5000 0.5000 0.3750
O 0.5000 0.5000 0.6250

=====

Record 4
VCr2As: computed powder XRD pattern (Cu Kα, 1.54184 Å), based on a cell relaxed with GGA-PBE.

Main lines, in order of falling intensity (2θ from 10° to 80°):
| Position (°2θ) | intensity |
| --- | --- |
| 43.71 | 100.0 |
| 63.54 | 15.0 |
| 26.36 | 3.4 |
| 51.77 | 1.9 |
| 30.53 | 0.9 |
| 70.02 | 0.9 |

Cell and atoms:
a = 5.8570 Å, b = 5.8570 Å, c = 5.8570 Å
α = 90.00°, β = 90.00°, γ = 90.00°
Atoms (fractional coordinates):
V 0.0000 0.0000 0.0000
V 0.0000 0.5000 0.5000
V 0.5000 0.0000 0.5000
V 0.5000 0.5000 0.0000
Cr 0.2500 0.2500 0.2500
Cr 0.2500 0.2500 0.7500
Cr 0.2500 0.7500 0.2500
Cr 0.2500 0.7500 0.7500
Cr 0.7500 0.2500 0.2500
Cr 0.7500 0.2500 0.7500
Cr 0.7500 0.7500 0.2500
Cr 0.7500 0.7500 0.7500
As 0.0000 0.0000 0.5000
As 0.0000 0.5000 0.0000
As 0.5000 0.0000 0.0000
As 0.5000 0.5000 0.5000

=====

Record 5
As2S3: computed powder XRD pattern (Cu Kα, 1.54184 Å), based on a cell relaxed with GGA-PBE.

Main lines, in order of falling intensity (2θ from 10° to 80°):
| Position (°2θ) | intensity |
| --- | --- |
| 16.16 | 100.0 |
| 31.82 | 48.1 |
| 30.40 | 32.7 |
| 25.26 | 25.4 |
| 38.20 | 20.4 |
| 40.61 | 20.2 |

Cell and atoms:
a = 4.6013 Å, b = 10.9726 Å, c = 12.2160 Å
α = 90.00°, β = 111.52°, γ = 90.00°
Atoms (fractional coordinates):
As 0.0363 0.1888 0.2305
As 0.0363 0.3112 0.7305
As 0.3288 0.1790 0.5221
As 0.3288 0.3210 0.0221
As 0.6712 0.6790 0.9779
As 0.6712 0.8210 0.4779
As 0.9637 0.6888 0.2695
As 0.9637 0.8112 0.7695
S 0.0946 0.7299 0.6198
S 0.0946 0.7701 0.1198
S 0.1215 0.1260 0.6609
S 0.1215 0.3740 0.1609
S 0.4447 0.6387 0.4054
S 0.4447 0.8613 0.9054
S 0.5553 0.1387 0.0946
S 0.5553 0.3613 0.5946
S 0.8785 0.6260 0.8391
S 0.8785 0.8740 0.3391
S 0.9054 0.2299 0.8802
S 0.9054 0.2701 0.3802

=====

Record 6
Cs3Cu2NiCl9: computed powder XRD pattern (Cu Kα, 1.54184 Å), based on a cell relaxed with GGA-PBE.

Main lines, in order of falling intensity (2θ from 10° to 80°):
| Position (°2θ) | intensity |
| --- | --- |
| 25.34 | 100.0 |
| 36.15 | 69.7 |
| 31.17 | 43.7 |
| 44.63 | 32.9 |
| 51.99 | 22.8 |
| 52.10 | 22.6 |

Cell and atoms:
a = 7.0359 Å, b = 7.0359 Å, c = 8.5913 Å
α = 90.00°, β = 90.00°, γ = 120.00°
Atoms (fractional coordinates):
Cs 0.0000 0.0000 0.0000
Cs 0.3333 0.6667 0.6675
Cs 0.6667 0.3333 0.3325
Cu 0.3333 0.6667 0.1629
Cu 0.6667 0.3333 0.8371
Ni 0.0000 0.0000 0.5000
Cl 0.0000 0.5000 0.0000
Cl 0.1615 0.3230 0.3392
Cl 0.1615 0.8385 0.3392
Cl 0.3230 0.1615 0.6608
Cl 0.5000 0.0000 0.0000
Cl 0.5000 0.5000 0.0000
Cl 0.6770 0.8385 0.3392
Cl 0.8385 0.1615 0.6608
Cl 0.8385 0.6770 0.6608

=====

Record 7
Tb2DyPd: computed powder XRD pattern (Cu Kα, 1.54184 Å), based on a cell relaxed with GGA-PBE.

Main lines, in order of falling intensity (2θ from 10° to 80°):
| Position (°2θ) | intensity |
| --- | --- |
| 31.15 | 100.0 |
| 33.68 | 89.8 |
| 32.03 | 72.7 |
| 37.91 | 41.9 |
| 32.27 | 40.0 |
| 35.02 | 38.0 |

Cell and atoms:
a = 3.7913 Å, b = 12.2104 Å, c = 9.4274 Å
α = 90.00°, β = 90.00°, γ = 90.00°
Atoms (fractional coordinates):
Tb 0.0000 0.1350 0.0603
Tb 0.0000 0.1350 0.4397
Tb 0.0000 0.8650 0.5603
Tb 0.0000 0.8650 0.9397
Tb 0.5000 0.3650 0.5603
Tb 0.5000 0.3650 0.9397
Tb 0.5000 0.6350 0.0603
Tb 0.5000 0.6350 0.4397
Dy 0.0000 0.4345 0.2500
Dy 0.0000 0.5655 0.7500
Dy 0.5000 0.0655 0.7500
Dy 0.5000 0.9345 0.2500
Pd 0.0000 0.2628 0.7500
Pd 0.0000 0.7372 0.2500
Pd 0.5000 0.2372 0.2500
Pd 0.5000 0.7628 0.7500

=====

Record 8
TaMo8W6: computed powder XRD pattern (Cu Kα, 1.54184 Å), based on a cell relaxed with GGA-PBE.

Main lines, in order of falling intensity (2θ from 10° to 80°):
| Position (°2θ) | intensity |
| --- | --- |
| 40.13 | 100.0 |
| 44.16 | 53.4 |
| 35.75 | 23.9 |
| 70.05 | 20.2 |
| 29.49 | 16.8 |
| 15.30 | 15.8 |

Cell and atoms:
a = 7.0991 Å, b = 7.0991 Å, c = 7.0991 Å
α = 60.11°, β = 60.11°, γ = 60.11°
Atoms (fractional coordinates):
Ta 0.0000 0.0000 0.0000
Mo 0.1293 0.8692 0.3823
Mo 0.1308 0.6177 0.8707
Mo 0.2495 0.2495 0.2495
Mo 0.3823 0.1293 0.8692
Mo 0.6177 0.8707 0.1308
Mo 0.7505 0.7505 0.7505
Mo 0.8692 0.3823 0.1293
Mo 0.8707 0.1308 0.6177
W 0.1347 0.3798 0.6180
W 0.3798 0.6180 0.1347
W 0.3820 0.8653 0.6202
W 0.6180 0.1347 0.3798
W 0.6202 0.3820 0.8653
W 0.8653 0.6202 0.3820